# 1
Diffraction record for DyBi. The powder XRD pattern is computed, not measured: it uses DFT lattice parameters and positions (PBE) and Cu Ka.
Neutral-atom scattering factors, no anomalous dispersion.

Atomic structure:
Cell: 6.3308 6.3308 6.3308 Å, 90.00 90.00 90.00°
Space group Fm-3m (No. 225)
Inequivalent atoms, fractional coordinates:
Dy: 0.0000 0.0000 0.0000
Bi: 0.0000 0.0000 0.5000

Peak list (10 most intense, 2θ = 10–90°, by angle)
| two_theta | I/Imax |
| --- | --- |
| 24.4 | 3 |
| 28.2 | 100 |
| 40.3 | 78 |
| 47.6 | 2 |
| 49.9 | 28 |
| 58.3 | 13 |
| 64.1 | 1 |
| 66.0 | 37 |
| 73.2 | 28 |
| 87.1 | 9 |



# 2
Diffraction record for YMgCu4. The powder XRD pattern is computed, not measured: it uses DFT lattice parameters and positions (PBE) and Cu Ka.
Neutral-atom scattering factors, no anomalous dispersion.

Atomic structure:
Cell: 7.2240 7.2240 7.2240 Å, 90.00 90.00 90.00°
Space group F-43m (No. 216)
Inequivalent atoms, fractional coordinates:
Y: 0.0000 0.0000 0.0000
Mg: 0.2500 0.2500 0.2500
Cu: 0.1238 0.1238 0.6238

Peak list (10 most intense, 2θ = 10–90°, by angle)
| two_theta | I/Imax |
| --- | --- |
| 21.3 | 19 |
| 24.6 | 10 |
| 35.1 | 21 |
| 41.5 | 100 |
| 43.4 | 46 |
| 50.5 | 7 |
| 63.0 | 7 |
| 67.4 | 29 |
| 74.3 | 24 |
| 88.8 | 10 |



# 3
Diffraction record for RbCaCl3. The powder XRD pattern is computed, not measured: it uses DFT lattice parameters and positions (PBE) and Cu Ka.
Neutral-atom scattering factors, no anomalous dispersion.

Atomic structure:
Cell: 7.6784 7.6786 5.4289 Å, 90.00 90.01 90.00°
Space group Cm (No. 8)
Inequivalent atoms, fractional coordinates:
Rb: 0.0000 0.0000 0.0000
Ca: 0.4983 0.0000 0.5082
Cl: 0.2487 0.2506 0.5105
Cl: 0.4962 0.0000 0.0086

Peak list (10 most intense, 2θ = 10–90°, by angle)
| two_theta | I/Imax |
| --- | --- |
| 23.2 | 76 |
| 28.5 | 84 |
| 33.0 | 100 |
| 40.7 | 35 |
| 47.4 | 66 |
| 56.2 | 31 |
| 58.9 | 22 |
| 64.2 | 18 |
| 78.8 | 27 |
| 88.2 | 21 |